This entry pairs a crystal structure of MgO with its computed X-ray diffraction stick pattern. Radiation: Cu Kα. Structure: DFT lattice parameters and positions (PBE).

The 10 most intense peaks (2θ from 10° to 80°), in order of rising 2θ:
Position (°2θ), I/Imax, index
10.55, 100, 1 0 0
18.33, 9, 1 1 0
28.17, 16, 2 1 0
35.52, 6, 2 1 1
37.16, 11, 2 2 0
43.17, 19, 0 0 2
44.57, 6, 1 0 2
49.86, 18, 4 1 0
58.25, 5, 2 2 2
68.04, 12, 4 1 2

Structural model:
```
data_MgO
_chemical_formula_sum 'Mg12 O12'
_cell_length_a 9.6787
_cell_length_b 9.6787
_cell_length_c 4.1909
_cell_angle_alpha 90.00
_cell_angle_beta 90.00
_cell_angle_gamma 120.00
_space_group_name_H-M_alt 'P 6/m c c'
_space_group_IT_number 192
_space_group_name_Hall '-P 6 2c'
loop_
_atom_site_label
_atom_site_fract_x
_atom_site_fract_y
_atom_site_fract_z
Mg1 0.1227 0.4545 0.0000
O1 0.1228 0.4518 0.5000
```